The following is a simulated X-ray diffraction stick pattern of AgB4As. It was derived from a crystal structure in OQMD, relaxed with PBE, using a wavelength of 1.5418 Å.

Crystal structure
Lattice parameters (Å, degrees): 3.0408 3.0408 8.0167 90.00 90.00 120.00
Element x y z (fractional)
Ag 0.0000 0.0000 0.0000
B 0.3333 0.6667 0.2602
B 0.3333 0.6667 0.7398
B 0.6667 0.3333 0.2602
B 0.6667 0.3333 0.7398
As 0.0000 0.0000 0.5000

Largest 10 diffraction maxima, in order of rising 2θ, 2θ from 15° to 90°:
hkl, 2θ/deg, d_spacing, I (rel.)
0 0 2, 22.18, 4.008, 464
1 0 0, 34.04, 2.633, 608
1 0 2, 41.01, 2.201, 1000
0 0 4, 45.24, 2.004, 141
1 0 4, 57.81, 1.595, 261
1 1 0, 60.93, 1.520, 166
1 1 2, 65.68, 1.422, 150
2 0 2, 76.09, 1.251, 151
1 1 4, 79.05, 1.211, 154
1 0 6, 80.63, 1.192, 129